This entry pairs a crystal structure of InCu2Te with its calculated powder XRD pattern. Radiation: Cu Ka. Structure: a structure optimized by DFT (PBE).
Intensities are scaled so that the largest is 100.

Cell and atoms:
```
data_InCu2Te
_cell_length_a 6.9406
_cell_length_b 3.9257
_cell_length_c 6.4299
_cell_angle_alpha 90.00
_cell_angle_beta 109.40
_cell_angle_gamma 90.00
_symmetry_space_group_name_H-M 'C 1 2/m 1'
_symmetry_Int_Tables_number 12
loop_
_symmetry_equiv_pos_as_xyz
'x,y,z'
'-x,-y,-z'
'-x,y,-z'
'x,-y,z'
'x+1/2,y+1/2,z'
'-x+1/2,-y+1/2,-z'
'-x+1/2,y+1/2,-z'
'x+1/2,-y+1/2,z'
loop_
_atom_site_label
_atom_site_type_symbol
_atom_site_fract_x
_atom_site_fract_y
_atom_site_fract_z
In1 In 0.0000 0.0000 0.0000
Cu1 Cu 0.2438 0.0000 0.7356
Te1 Te 0.0000 0.5000 0.5000
```

Most intense lines, 2θ = 10–90°, by angle:
- d = 3.183 Å, 28.03 deg, rel. 11, hkl 1 1 -1
- d = 2.751 Å, 32.55 deg, rel. 100, hkl 1 1 1
- d = 2.720 Å, 32.93 deg, rel. 49, hkl 2 0 -2
- d = 1.993 Å, 45.52 deg, rel. 39, hkl 3 1 -1
- d = 1.963 Å, 46.25 deg, rel. 18, hkl 0 2 0
- d = 1.928 Å, 47.14 deg, rel. 17, hkl 2 0 2
- d = 1.881 Å, 48.40 deg, rel. 32, hkl 1 1 -3
- d = 1.637 Å, 56.20 deg, rel. 10, hkl 4 0 0
- d = 1.592 Å, 57.94 deg, rel. 19, hkl 2 2 -2
- d = 1.375 Å, 68.18 deg, rel. 11, hkl 2 2 2